Structure and computed powder diffraction line list of TbPr2Sm2Dy (the GGA-PBE geometry in Alexandria; copper Kα).
Neutral-atom scattering factors, no anomalous dispersion.

Top 6 peaks for 2θ from 10° to 90°, in order of falling intensity:
d_spacing  intensity
2.867  100.0
2.887  90.7
1.659  35.0
2.034  33.4
1.508  28.9
1.655  19.5

Structural model:
```
data_TbPr2Sm2Dy
_symmetry_space_group_name_H-M 'P m m a'
_symmetry_Int_Tables_number 51
_symmetry_space_group_name_Hall '-P 2a 2a'
_cell_length_a 7.0944
_cell_length_b 5.7332
_cell_length_c 9.9348
_cell_angle_alpha 90.00
_cell_angle_beta 90.00
_cell_angle_gamma 90.00
loop_
_atom_site_label
_atom_site_type_symbol
_atom_site_fract_x
_atom_site_fract_y
_atom_site_fract_z
Tb1 Tb 0.0000 0.0000 0.0000
Pr1 Pr 0.0000 0.5000 0.5000
Pr2 Pr 0.2500 0.0000 0.3246
Sm1 Sm 0.2500 0.0000 0.6640
Sm2 Sm 0.2500 0.5000 0.1675
Dy1 Dy 0.2500 0.5000 0.8393
```

***

Structure and computed powder diffraction line list of Cs3Rb3Hg2 (the GGA-PBE geometry in Alexandria; copper Kα).
Neutral-atom scattering factors, no anomalous dispersion.

Top 6 peaks for 2θ from 10° to 90°, in order of falling intensity:
d_spacing  intensity
3.572  100.0
3.980  79.0
3.534  66.8
3.272  40.7
2.694  35.3
2.961  28.4

Structural model:
```
data_Cs3Rb3Hg2
_symmetry_space_group_name_H-M 'C m c m'
_symmetry_Int_Tables_number 63
_symmetry_space_group_name_Hall '-C 2c 2'
_cell_length_a 5.3880
_cell_length_b 17.7169
_cell_length_c 24.2712
_cell_angle_alpha 90.00
_cell_angle_beta 90.00
_cell_angle_gamma 90.00
loop_
_atom_site_label
_atom_site_type_symbol
_atom_site_fract_x
_atom_site_fract_y
_atom_site_fract_z
Cs1 Cs 0.0000 0.0544 0.0964
Cs2 Cs 0.0000 0.2992 0.2500
Rb1 Rb 0.0000 0.3273 0.0510
Rb2 Rb 0.0000 0.4211 0.7500
Hg1 Hg 0.0000 0.2889 0.6234
```

***

Structure and computed powder diffraction line list of PrThO (the GGA-PBE geometry in Alexandria; copper Kα).
Neutral-atom scattering factors, no anomalous dispersion.

Top 6 peaks for 2θ from 10° to 90°, in order of falling intensity:
d_spacing  intensity
2.875  100.0
3.300  22.8
1.905  22.4
2.191  22.3
1.597  20.9
2.931  20.2

Structural model:
```
data_PrThO
_symmetry_space_group_name_H-M 'P 3 m 1'
_symmetry_Int_Tables_number 156
_symmetry_space_group_name_Hall 'P 3 -2"'
_cell_length_a 3.8103
_cell_length_b 3.8103
_cell_length_c 5.8616
_cell_angle_alpha 90.00
_cell_angle_beta 90.00
_cell_angle_gamma 120.00
loop_
_atom_site_label
_atom_site_type_symbol
_atom_site_fract_x
_atom_site_fract_y
_atom_site_fract_z
Pr1 Pr 0.0000 0.0000 0.0000
Th1 Th 0.6667 0.3333 0.5394
O1 O 0.3333 0.6667 0.7323
```

***

Structure and computed powder diffraction line list of PrIO4F (the GGA-PBE geometry in Alexandria; copper Kα).
Neutral-atom scattering factors, no anomalous dispersion.

Top 6 peaks for 2θ from 10° to 90°, in order of falling intensity:
d_spacing  intensity
3.763  100.0
3.083  84.7
3.659  57.5
2.881  44.7
4.834  40.3
2.014  32.1

Structural model:
```
data_PrIO4F
_symmetry_space_group_name_H-M 'C 1 2/m 1'
_symmetry_Int_Tables_number 12
_symmetry_space_group_name_Hall '-C 2y'
_cell_length_a 9.8043
_cell_length_b 7.5263
_cell_length_c 6.8755
_cell_angle_alpha 90.00
_cell_angle_beta 99.58
_cell_angle_gamma 90.00
loop_
_atom_site_label
_atom_site_type_symbol
_atom_site_fract_x
_atom_site_fract_y
_atom_site_fract_z
Pr1 Pr 0.1953 0.0000 0.1126
I1 I 0.1404 0.5000 0.3185
O1 O 0.0542 0.5000 0.7523
O2 O 0.1900 0.3240 0.1550
O3 O 0.2040 0.0000 0.4758
F1 F 0.0302 0.0000 0.8256
```

***

Structure and computed powder diffraction line list of PmCuSi3 (the GGA-PBE geometry in Alexandria; copper Kα).
Neutral-atom scattering factors, no anomalous dispersion.

Top 6 peaks for 2θ from 10° to 90°, in order of falling intensity:
d_spacing  intensity
2.505  100.0
2.556  84.6
3.075  61.0
2.174  59.6
1.642  54.0
3.931  47.2

Structural model:
```
data_PmCuSi3
_symmetry_space_group_name_H-M 'I 4 m m'
_symmetry_Int_Tables_number 107
_symmetry_space_group_name_Hall 'I 4 -2'
_cell_length_a 4.3483
_cell_length_b 4.3483
_cell_length_c 9.1927
_cell_angle_alpha 90.00
_cell_angle_beta 90.00
_cell_angle_gamma 90.00
loop_
_atom_site_label
_atom_site_type_symbol
_atom_site_fract_x
_atom_site_fract_y
_atom_site_fract_z
Pm1 Pm 0.0000 0.0000 0.0000
Cu1 Cu 0.0000 0.0000 0.6361
Si1 Si 0.0000 0.0000 0.3793
Si2 Si 0.0000 0.5000 0.2524
```

***

Structure and computed powder diffraction line list of Nd6Tl2NO (the GGA-PBE geometry in Alexandria; copper Kα).
Neutral-atom scattering factors, no anomalous dispersion.

Top 6 peaks for 2θ from 10° to 90°, in order of falling intensity:
d_spacing  intensity
2.895  100.0
2.507  55.8
1.512  43.3
1.773  39.4
1.150  18.1
1.121  18.1

Structural model:
```
data_Nd6Tl2NO
_symmetry_space_group_name_H-M 'F m -3 m'
_symmetry_Int_Tables_number 225
_symmetry_space_group_name_Hall '-F 4 2 3'
_cell_length_a 10.0275
_cell_length_b 10.0275
_cell_length_c 10.0275
_cell_angle_alpha 90.00
_cell_angle_beta 90.00
_cell_angle_gamma 90.00
loop_
_atom_site_label
_atom_site_type_symbol
_atom_site_fract_x
_atom_site_fract_y
_atom_site_fract_z
Nd1 Nd 0.0000 0.0000 0.2478
Tl1 Tl 0.2500 0.2500 0.2500
N1 N 0.0000 0.0000 0.0000
O1 O 0.0000 0.0000 0.5000
```